# Al2IrS
Theoretical powder diffractogram, Cu Kα X-rays. Input: a PBE-relaxed structure.
Intensities are scaled so that the largest is 100.

The 12 most intense peaks (2θ from 10° to 90°), most intense first:
d [Å], Rel. int., index
6.054, 100, 0 2 0
3.755, 89, 1 1 0
2.274, 70, 1 1 2
1.942, 48, 1 5 1
2.008, 32, 1 3 2
2.675, 30, 0 4 1
2.857, 29, 0 0 2
3.027, 21, 0 4 0
1.975, 19, 2 0 0
1.903, 17, 0 6 1
3.138, 15, 1 1 1
2.584, 15, 0 2 2

Atomic structure:
a b c (Å): 3.950 12.107 5.715
angles (deg): 90.00 90.00 90.00
Space group Cmc2_1 (No. 36)
One atom of each set of equivalent atoms:
Al (0.000, 0.035, 0.000)
Al (0.000, 0.343, 0.847)
Ir (0.000, 0.466, 0.221)
S (0.000, 0.252, 0.219)

# Na3Ag
Theoretical powder diffractogram, Cu Kα X-rays. Input: a PBE-relaxed structure.
Intensities are scaled so that the largest is 100.

The 12 most intense peaks (2θ from 10° to 90°), most intense first:
d [Å], Rel. int., index
2.637, 100, 1 2 1
5.085, 82, 0 1 1
6.016, 53, 0 2 0
2.806, 32, 0 0 2
3.008, 29, 0 4 0
2.612, 23, 1 3 0
2.100, 20, 1 4 1
1.585, 19, 1 2 3
2.052, 19, 0 4 2
1.912, 17, 1 3 2
2.212, 17, 0 5 1
1.655, 16, 1 6 1

Atomic structure:
a b c (Å): 3.442 12.032 5.611
angles (deg): 90.00 90.00 90.00
Space group Imm2 (No. 44)
One atom of each set of equivalent atoms:
Na (0.000, 0.000, 0.000)
Na (0.000, 0.208, 0.505)
Ag (0.000, 0.500, 0.998)

# NdThGeSe
Theoretical powder diffractogram, Cu Kα X-rays. Input: a PBE-relaxed structure.
Intensities are scaled so that the largest is 100.

The 12 most intense peaks (2θ from 10° to 90°), most intense first:
d [Å], Rel. int., index
3.025, 100, 1 0 4
2.146, 39, 1 1 0
2.133, 37, 0 1 8
3.500, 23, 0 1 2
1.750, 21, 0 2 4
1.356, 18, 2 1 4
1.350, 17, 1 1 12
1.236, 13, 1 2 8
1.513, 12, 2 0 8
1.825, 8, 1 1 6
3.472, 7, 0 0 6
1.239, 7, 3 0 0

Atomic structure:
a b c (Å): 4.2913 4.2913 20.8326
angles (deg): 90.00 90.00 120.00
Space group R3m (No. 160, hexagonal axes)
One atom of each set of equivalent atoms:
Nd (0.0000, 0.0000, 0.0000)
Th (0.0000, 0.0000, 0.4928)
Ge (0.0000, 0.0000, 0.7476)
Se (0.0000, 0.0000, 0.2456)

# Pr3Mg2Rh3
Theoretical powder diffractogram, Cu Kα X-rays. Input: a PBE-relaxed structure.
Intensities are scaled so that the largest is 100.

The 12 most intense peaks (2θ from 10° to 90°), most intense first:
d [Å], Rel. int., index
2.498, 100, 2 1 1
4.208, 48, 1 1 0
2.960, 45, 0 0 2
2.421, 43, 1 1 2
2.430, 39, 3 0 0
1.604, 26, 2 1 3
1.913, 24, 3 1 1
1.878, 22, 3 0 2
1.609, 16, 3 2 1
1.342, 13, 4 2 1
1.278, 12, 5 1 1
2.755, 10, 2 1 0

Atomic structure:
a b c (Å): 8.4165 8.4165 5.9190
angles (deg): 90.00 90.00 120.00
Space group P6_3/mcm (No. 193)
One atom of each set of equivalent atoms:
Pr (0.0000, 0.2693, 0.2500)
Mg (0.3333, 0.6667, 0.0000)
Rh (0.0000, 0.3952, 0.7500)

# Ba2Ga4GePd3
Theoretical powder diffractogram, Cu Kα X-rays. Input: a PBE-relaxed structure.
Intensities are scaled so that the largest is 100.

The 12 most intense peaks (2θ from 10° to 90°), most intense first:
d [Å], Rel. int., index
2.757, 100, 1 1 2
2.806, 81, 1 0 3
2.275, 75, 2 0 0
1.767, 41, 2 1 3
1.936, 27, 1 0 5
1.609, 25, 2 2 0
1.390, 24, 3 1 2
2.057, 22, 1 1 4
1.474, 22, 2 1 5
3.218, 19, 1 1 0
1.559, 19, 1 1 6
1.153, 16, 2 0 8

Atomic structure:
a b c (Å): 4.551 4.551 10.695
angles (deg): 90.00 90.00 90.00
Space group P-4m2 (No. 115)
One atom of each set of equivalent atoms:
Ba (0.000, 0.500, 0.247)
Ga (0.000, 0.000, 0.500)
Ga (0.000, 0.500, 0.869)
Ga (0.500, 0.500, 0.500)
Ge (0.500, 0.500, 0.000)
Pd (0.000, 0.000, 0.000)
Pd (0.000, 0.500, 0.621)

# PmHfAg
Theoretical powder diffractogram, Cu Kα X-rays. Input: a PBE-relaxed structure.
Intensities are scaled so that the largest is 100.

The 12 most intense peaks (2θ from 10° to 90°), most intense first:
d [Å], Rel. int., index
2.645, 100, 1 0 3
2.414, 41, 1 1 0
1.434, 30, 2 1 3
1.581, 17, 1 1 6
1.707, 14, 2 0 0
2.091, 10, 0 0 6
1.323, 9, 2 0 6
1.098, 7, 3 0 3
1.291, 6, 1 0 9
1.587, 6, 1 0 7
6.274, 5, 0 0 2
1.207, 5, 2 2 0

Atomic structure:
a b c (Å): 3.415 3.415 12.547
angles (deg): 90.00 90.00 90.00
Space group I4mm (No. 107)
One atom of each set of equivalent atoms:
Pm (0.000, 0.000, 0.000)
Hf (0.000, 0.000, 0.318)
Ag (0.000, 0.000, 0.685)

# NaLa2TaTi2O10
Theoretical powder diffractogram, Cu Kα X-rays. Input: a PBE-relaxed structure.
Intensities are scaled so that the largest is 100.

The 12 most intense peaks (2θ from 10° to 90°), most intense first:
d [Å], Rel. int., index
2.880, 100, 0 1 4
7.514, 54, 0 0 2
3.261, 51, 1 0 -2
2.745, 47, 1 1 1
3.620, 44, 1 0 -1
1.610, 39, 2 1 5
1.941, 37, 2 0 1
1.691, 24, 1 1 8
2.217, 18, 1 1 -3
1.440, 16, 0 2 8
1.465, 16, 0 1 -9
2.147, 16, 0 0 7

Atomic structure:
a b c (Å): 3.882 3.883 15.276
angles (deg): 82.70 82.71 90.00
Space group P1 (No. 1)
One atom of each set of equivalent atoms:
Na (0.000, 0.000, 0.000)
La (0.186, 0.683, 0.632)
La (0.334, 0.833, 0.335)
Ta (0.606, 0.103, 0.789)
Ti (0.753, 0.251, 0.497)
Ti (0.902, 0.401, 0.198)
O (0.121, 0.118, 0.758)
O (0.246, 0.242, 0.509)
O (0.382, 0.381, 0.237)
O (0.546, 0.044, 0.908)
O (0.622, 0.619, 0.757)
O (0.683, 0.180, 0.634)
O (0.745, 0.743, 0.509)
O (0.814, 0.311, 0.373)
O (0.883, 0.882, 0.236)
O (0.958, 0.458, 0.085)

# PrAl4Cu2
Theoretical powder diffractogram, Cu Kα X-rays. Input: a PBE-relaxed structure.
Intensities are scaled so that the largest is 100.

The 12 most intense peaks (2θ from 10° to 90°), most intense first:
d [Å], Rel. int., index
2.558, 100, 2 1 2
3.017, 84, 3 1 1
2.339, 48, 6 1 0
2.062, 37, 0 2 0
3.069, 35, 5 0 1
1.753, 24, 5 1 3
3.712, 23, 2 1 0
2.718, 22, 4 0 2
2.331, 21, 1 0 3
1.824, 20, 8 0 2
2.462, 20, 5 1 1
4.426, 18, 3 0 1

Atomic structure:
a b c (Å): 17.041 4.125 7.060
angles (deg): 90.00 90.00 90.00
Space group Pnma (No. 62)
One atom of each set of equivalent atoms:
Pr (0.116, 0.250, 0.008)
Al (0.037, 0.750, 0.726)
Al (0.095, 0.250, 0.503)
Al (0.190, 0.750, 0.330)
Al (0.198, 0.750, 0.711)
Cu (0.040, 0.750, 0.323)
Cu (0.238, 0.250, 0.526)